This entry pairs a crystal structure of Li2TiFe3O8 with its calculated XRD peak list. Radiation: Cu Kα X-rays. Structure: a PBE+U-relaxed structure.
Kinematic intensities with the Lorentz-polarization factor, no thermal factor.

Main lines, by angle (5 to 70 degrees two-theta):
2theta  I/Imax
18.51  78.7
19.60  100.0
25.41  29.2
33.01  38.8
35.58  48.9
36.19  64.0
39.80  46.9
45.28  70.7
60.22  49.8
62.61  44.5

Crystal structure
a = 5.935 Å, b = 5.935 Å, c = 9.586 Å
α = 90.00°, β = 90.00°, γ = 120.00°
Fractional positions:
Li: 0.000 0.000 0.000
Li: 0.000 0.000 0.500
Li: 0.333 0.667 0.401
Li: 0.667 0.333 0.901
Ti: 0.333 0.667 0.000
Ti: 0.667 0.333 0.500
Fe: 0.171 0.342 0.721
Fe: 0.171 0.829 0.721
Fe: 0.342 0.171 0.221
Fe: 0.658 0.829 0.721
Fe: 0.829 0.171 0.221
Fe: 0.829 0.658 0.221
O: 0.000 0.000 0.312
O: 0.000 0.000 0.812
O: 0.039 0.519 0.848
O: 0.168 0.337 0.100
O: 0.168 0.832 0.100
O: 0.333 0.667 0.610
O: 0.337 0.168 0.600
O: 0.481 0.519 0.848
O: 0.481 0.961 0.848
O: 0.519 0.039 0.348
O: 0.519 0.481 0.348
O: 0.663 0.832 0.100
O: 0.667 0.333 0.110
O: 0.832 0.168 0.600
O: 0.832 0.663 0.600
O: 0.961 0.481 0.348